Computed powder XRD pattern of Hg4SbS6 for Cu Kα X-rays, from a structure optimized by DFT (PBE).
Neutral-atom scattering factors, no anomalous dispersion.

Structural model:
a = 7.3328 Å, b = 7.3328 Å, c = 12.8794 Å
α = 107.11°, β = 107.11°, γ = 60.34°
Sites, in units of the cell vectors:
1 Hg 0.0853 0.9147 0.5000
2 Hg 0.2443 0.4287 0.9903
3 Hg 0.4287 0.2443 0.4903
4 Hg 0.4420 0.8113 0.8421
5 Hg 0.6943 0.9193 0.1893
6 Hg 0.8113 0.4420 0.3421
7 Hg 0.9147 0.0853 0.0000
8 Hg 0.9193 0.6943 0.6893
9 Sb 0.2503 0.8406 0.2371
10 Sb 0.8406 0.2503 0.7371
11 S 0.0597 0.5726 0.5037
12 S 0.1071 0.5755 0.1896
13 S 0.1170 0.2053 0.1957
14 S 0.1588 0.7265 0.8807
15 S 0.2053 0.1170 0.6957
16 S 0.4133 0.8574 0.4301
17 S 0.5726 0.0597 0.0037
18 S 0.5755 0.1071 0.6896
19 S 0.5806 0.6196 0.1647
20 S 0.6196 0.5806 0.6647
21 S 0.7265 0.1588 0.3807
22 S 0.8574 0.4133 0.9301

Top 10 peaks for 10 to 80 degrees two-theta, low angle first:
| 2theta | I/Imax |
| --- | --- |
| 22.16 | 30 |
| 23.99 | 18 |
| 24.27 | 50 |
| 25.28 | 100 |
| 28.14 | 33 |
| 28.35 | 48 |
| 30.71 | 21 |
| 32.88 | 29 |
| 42.37 | 18 |
| 45.11 | 29 |